Diffraction record for K3Mn2As4. The powder X-ray diffraction pattern is simulated, not measured: it uses a PBE-relaxed structure and Cu Ka.
Intensities are scaled so that the largest is 100.

Structure:
Cell: 6.8790 6.8790 8.6911 Å, 105.45 105.45 37.33°
Fractional positions:
1 K 0.0000 0.0000 0.0000
2 K 0.4095 0.4095 0.3155
3 K 0.5905 0.5905 0.6845
4 Mn 0.2904 0.2904 0.6497
5 Mn 0.7096 0.7096 0.3503
6 As 0.1361 0.1361 0.3957
7 As 0.2712 0.2712 0.9345
8 As 0.7288 0.7288 0.0655
9 As 0.8639 0.8639 0.6043

Largest 10 diffraction maxima, sorted by position, 2θ from 10° to 90°:
14.16°, I 67
22.05°, I 19
29.26°, I 100
31.80°, I 35
32.20°, I 28
33.31°, I 47
39.27°, I 26
41.00°, I 36
53.81°, I 22
55.50°, I 22

=====

Diffraction record for Mg3Ag8Sn2. The powder X-ray diffraction pattern is simulated, not measured: it uses a PBE-relaxed structure and Cu Ka.
Intensities are scaled so that the largest is 100.

Structure:
Cell: 10.7672 10.7672 10.7672 Å, 29.80 29.80 29.80°
Fractional positions:
1 Mg 0.0000 0.0000 0.0000
2 Mg 0.1840 0.1840 0.1840
3 Mg 0.8160 0.8160 0.8160
4 Ag 0.2241 0.7265 0.7265
5 Ag 0.2714 0.2714 0.2714
6 Ag 0.2735 0.2735 0.7759
7 Ag 0.2735 0.7759 0.2735
8 Ag 0.7265 0.2241 0.7265
9 Ag 0.7265 0.7265 0.2241
10 Ag 0.7286 0.7286 0.7286
11 Ag 0.7759 0.2735 0.2735
12 Sn 0.3615 0.3615 0.3615
13 Sn 0.6385 0.6385 0.6385

Largest 10 diffraction maxima, sorted by position, 2θ from 10° to 90°:
17.25°, I 43
33.52°, I 48
37.14°, I 75
37.97°, I 100
39.35°, I 31
40.35°, I 24
41.95°, I 35
42.94°, I 34
60.85°, I 34
67.67°, I 31

=====

Diffraction record for LiPmZn10. The powder X-ray diffraction pattern is simulated, not measured: it uses a PBE-relaxed structure and Cu Ka.
Intensities are scaled so that the largest is 100.

Structure:
Cell: 4.3396 5.1077 9.2646 Å, 90.00 90.00 90.00°
Fractional positions:
1 Li 0.0000 0.0000 0.0000
2 Pm 0.0000 0.5000 0.5000
3 Zn 0.0000 0.0000 0.3037
4 Zn 0.0000 0.0000 0.6963
5 Zn 0.0000 0.5000 0.1516
6 Zn 0.0000 0.5000 0.8484
7 Zn 0.5000 0.0000 0.5000
8 Zn 0.5000 0.2564 0.2578
9 Zn 0.5000 0.2564 0.7422
10 Zn 0.5000 0.5000 0.0000
11 Zn 0.5000 0.7436 0.2578
12 Zn 0.5000 0.7436 0.7422

Largest 10 diffraction maxima, sorted by position, 2θ from 10° to 90°:
25.97°, I 19
28.66°, I 21
33.29°, I 25
38.88°, I 21
39.94°, I 100
40.33°, I 28
41.01°, I 51
41.62°, I 54
45.63°, I 41
66.29°, I 25